The following is a theoretical PXRD pattern of Pr5NdYHo2. It was derived from a PBE-relaxed structure, using Cu Kα (λ = 1.5418 Å).

Structure:
Cell lengths 10.735, 10.735, 10.803 Å; angles 90.00, 90.00, 149.21 degrees
Element x y z (fractional)
Pr: 0.015 0.985 0.500
Pr: 0.280 0.720 0.790
Pr: 0.295 0.705 0.184
Pr: 0.389 0.611 0.505
Pr: 0.481 0.519 0.225
Pr: 0.519 0.481 0.725
Pr: 0.611 0.389 0.005
Pr: 0.705 0.295 0.684
Pr: 0.720 0.280 0.290
Pr: 0.985 0.015 0.000
Nd: 0.201 0.799 0.490
Nd: 0.799 0.201 0.990
Y: 0.408 0.592 0.941
Y: 0.592 0.408 0.441
Ho: 0.111 0.889 0.219
Ho: 0.116 0.884 0.792
Ho: 0.884 0.116 0.292
Ho: 0.889 0.111 0.719

Most intense lines, 2θ = 10–90°, sorted by position:
2θ/deg  I_rel
27.13  12
29.66  26
31.41  100
33.17  10
54.81  10
55.91  17